No. 1
Starting from the PBE geometry in OQMD, the powder X-ray diffraction pattern of Cu7Ag2 was calculated for Cu Kα.

Structural model:
a b c (Å): 5.612 5.612 8.333
angles (deg): 104.43 104.43 27.89
Fractional positions:
Cu1 0.000 0.000 0.000
Cu2 0.005 0.005 0.300
Cu3 0.331 0.331 0.794
Cu4 0.333 0.333 0.103
Cu5 0.667 0.667 0.897
Cu6 0.669 0.669 0.206
Cu7 0.995 0.995 0.700
Ag1 0.347 0.347 0.443
Ag2 0.653 0.653 0.557

Largest 10 diffraction maxima, by intensity, 2θ = 10–90°:
| 2θ (°) | I/Imax |
| --- | --- |
| 42.18 | 100 |
| 41.46 | 94 |
| 46.89 | 66 |
| 52.13 | 24 |
| 84.29 | 21 |
| 72.75 | 16 |
| 72.65 | 13 |
| 69.51 | 10 |
| 82.88 | 9 |
| 67.43 | 7 |


No. 2
Starting from the PBE geometry in OQMD, the powder X-ray diffraction pattern of Ho2FePt was calculated for Cu Kα.

Structural model:
a b c (Å): 4.197 7.373 5.587
angles (deg): 90.00 90.00 90.00
Fractional positions:
Ho1 0.000 0.074 0.000
Ho2 0.000 0.576 0.260
Ho3 0.500 0.424 0.760
Ho4 0.500 0.926 0.500
Fe1 0.000 0.713 0.768
Fe2 0.500 0.287 0.268
Pt1 0.000 0.210 0.500
Pt2 0.500 0.790 0.000

Largest 10 diffraction maxima, by intensity, 2θ = 10–90°:
| 2θ (°) | I/Imax |
| --- | --- |
| 40.68 | 100 |
| 32.32 | 90 |
| 36.20 | 77 |
| 34.33 | 64 |
| 40.08 | 49 |
| 43.11 | 46 |
| 29.24 | 45 |
| 56.23 | 31 |
| 60.32 | 29 |
| 19.94 | 26 |


No. 3
Starting from the PBE geometry in OQMD, the powder X-ray diffraction pattern of K2Ir2O5 was calculated for Cu Kα.

Structural model:
a b c (Å): 4.999 5.014 6.321
angles (deg): 96.83 110.51 108.26
Fractional positions:
K1 0.000 0.000 0.000
K2 0.475 0.648 0.168
Ir1 0.046 0.499 0.598
Ir2 0.411 0.139 0.604
O1 0.042 0.787 0.405
O2 0.266 0.395 0.425
O3 0.400 0.879 0.809
O4 0.644 0.175 0.402
O5 0.842 0.442 0.811

Largest 10 diffraction maxima, by intensity, 2θ = 10–90°:
| 2θ (°) | I/Imax |
| --- | --- |
| 15.49 | 100 |
| 30.56 | 33 |
| 25.06 | 27 |
| 29.14 | 22 |
| 31.27 | 21 |
| 36.82 | 21 |
| 36.57 | 19 |
| 22.18 | 18 |
| 42.63 | 18 |
| 33.40 | 13 |


No. 4
Starting from the PBE geometry in OQMD, the powder X-ray diffraction pattern of La2YZn2Si4Au2 was calculated for Cu Kα.

Structural model:
a b c (Å): 12.771 12.771 12.771
angles (deg): 160.82 160.68 27.36
Fractional positions:
La1 0.145 0.145 0.000
La2 0.855 0.855 0.000
Y1 0.000 0.500 0.500
Zn1 0.407 0.407 0.000
Zn2 0.593 0.593 0.000
Si1 0.309 0.309 0.000
Si2 0.453 0.953 0.500
Si3 0.547 0.047 0.500
Si4 0.691 0.691 0.000
Au1 0.250 0.750 0.500
Au2 0.750 0.250 0.500

Largest 10 diffraction maxima, by intensity, 2θ = 10–90°:
| 2θ (°) | I/Imax |
| --- | --- |
| 32.99 | 100 |
| 32.80 | 23 |
| 42.17 | 18 |
| 42.48 | 18 |
| 36.85 | 17 |
| 28.78 | 14 |
| 61.40 | 12 |
| 45.49 | 11 |
| 71.71 | 11 |
| 71.27 | 11 |


No. 5
Starting from the PBE geometry in OQMD, the powder X-ray diffraction pattern of BaLu2P4 was calculated for Cu Kα.

Structural model:
a b c (Å): 12.337 11.401 6.297
angles (deg): 83.03 66.53 30.44
Fractional positions:
Ba1 0.125 0.125 0.125
Ba2 0.875 0.875 0.875
Lu1 0.255 0.255 0.495
Lu2 0.495 0.495 0.255
Lu3 0.505 0.505 0.745
Lu4 0.745 0.745 0.505
P1 0.152 0.697 0.206
P2 0.206 0.444 0.152
P3 0.303 0.848 0.556
P4 0.444 0.206 0.697
P5 0.556 0.794 0.303
P6 0.697 0.152 0.444
P7 0.794 0.556 0.848
P8 0.848 0.303 0.794

Largest 10 diffraction maxima, by intensity, 2θ = 10–90°:
| 2θ (°) | I/Imax |
| --- | --- |
| 26.49 | 100 |
| 20.89 | 65 |
| 48.06 | 47 |
| 30.97 | 45 |
| 35.09 | 43 |
| 34.39 | 42 |
| 32.19 | 35 |
| 17.47 | 24 |
| 16.10 | 21 |
| 46.41 | 20 |


No. 6
Starting from the PBE geometry in OQMD, the powder X-ray diffraction pattern of Mg2ZrSc was calculated for Cu Kα.

Structural model:
a b c (Å): 6.301 6.301 5.131
angles (deg): 90.00 90.00 118.17
Fractional positions:
Mg1 0.153 0.336 0.250
Mg2 0.336 0.153 0.750
Mg3 0.664 0.847 0.250
Mg4 0.847 0.664 0.750
Zr1 0.349 0.651 0.750
Zr2 0.651 0.349 0.250
Sc1 0.164 0.836 0.250
Sc2 0.836 0.164 0.750

Largest 10 diffraction maxima, by intensity, 2θ = 10–90°:
| 2θ (°) | I/Imax |
| --- | --- |
| 36.80 | 100 |
| 34.98 | 34 |
| 23.91 | 34 |
| 37.61 | 27 |
| 70.16 | 21 |
| 33.14 | 19 |
| 63.93 | 18 |
| 23.61 | 15 |
| 27.56 | 14 |
| 32.23 | 12 |


No. 7
Starting from the PBE geometry in OQMD, the powder X-ray diffraction pattern of Co5OsW2 was calculated for Cu Kα.

Structural model:
a b c (Å): 4.146 5.196 5.196
angles (deg): 60.11 90.00 90.00
Fractional positions:
Co1 0.000 0.000 0.000
Co2 0.000 0.008 0.511
Co3 0.000 0.511 0.008
Co4 0.500 0.163 0.677
Co5 0.500 0.677 0.163
Os1 0.500 0.678 0.678
W1 0.000 0.499 0.499
W2 0.500 0.169 0.169

Largest 10 diffraction maxima, by intensity, 2θ = 10–90°:
| 2θ (°) | I/Imax |
| --- | --- |
| 45.87 | 100 |
| 29.30 | 30 |
| 40.06 | 26 |
| 43.67 | 26 |
| 81.78 | 18 |
| 60.74 | 15 |
| 19.73 | 14 |
| 88.92 | 13 |
| 34.48 | 11 |
| 72.82 | 11 |


No. 8
Starting from the PBE geometry in OQMD, the powder X-ray diffraction pattern of YErCo4 was calculated for Cu Kα.

Structural model:
a b c (Å): 5.034 5.034 5.034
angles (deg): 60.00 60.00 60.00
Fractional positions:
Y1 0.000 0.000 0.000
Er1 0.750 0.750 0.750
Co1 0.375 0.375 0.375
Co2 0.375 0.375 0.874
Co3 0.375 0.874 0.375
Co4 0.874 0.375 0.375

Largest 10 diffraction maxima, by intensity, 2θ = 10–90°:
| 2θ (°) | I/Imax |
| --- | --- |
| 42.09 | 100 |
| 35.67 | 54 |
| 68.48 | 30 |
| 75.54 | 22 |
| 44.06 | 20 |
| 64.07 | 20 |
| 21.62 | 11 |
| 86.44 | 9 |
| 25.01 | 5 |
| 56.33 | 3 |